Entry 1:
Diffraction record for Nd4Fe3B6. The powder XRD pattern is computed, not measured: it uses a DFT-relaxed cell (PBE, Alexandria) and CuKα.

Top 10 peaks for 5° ≤ 2θ ≤ 70°, by intensity:
- 2θ = 33.19°, I 100
- 2θ = 41.10°, I 66
- 2θ = 23.55°, I 35
- 2θ = 33.67°, I 28
- 2θ = 59.30°, I 22
- 2θ = 37.11°, I 19
- 2θ = 59.76°, I 15
- 2θ = 64.71°, I 14
- 2θ = 69.68°, I 11
- 2θ = 59.61°, I 11

Structural model:
Unit cell a=8.172 b=8.172 c=8.172 alpha=38.57 beta=38.57 gamma=38.57
Fractional positions:
Nd1 0.089 0.089 0.089
Nd2 0.243 0.243 0.243
Nd3 0.757 0.757 0.757
Nd4 0.911 0.911 0.911
Fe1 0.384 0.384 0.384
Fe2 0.500 0.500 0.500
Fe3 0.616 0.616 0.616
B1 0.000 0.333 0.667
B2 0.000 0.667 0.333
B3 0.333 0.000 0.667
B4 0.333 0.667 0.000
B5 0.667 0.000 0.333
B6 0.667 0.333 0.000

Entry 2:
Diffraction record for BaPaHgO4. The powder XRD pattern is computed, not measured: it uses a DFT-relaxed cell (PBE, Alexandria) and CuKα.

Top 10 peaks for 5° ≤ 2θ ≤ 70°, by intensity:
- 2θ = 32.76°, I 100
- 2θ = 28.82°, I 82
- 2θ = 49.04°, I 80
- 2θ = 29.87°, I 79
- 2θ = 26.00°, I 62
- 2θ = 16.20°, I 54
- 2θ = 38.83°, I 39
- 2θ = 24.84°, I 36
- 2θ = 28.71°, I 28
- 2θ = 38.31°, I 26

Structural model:
Unit cell a=7.793 b=7.793 c=7.793 alpha=133.99 beta=125.42 gamma=74.10
Fractional positions:
Ba1 0.407 0.157 0.250
Ba2 0.593 0.843 0.750
Pa1 0.000 0.500 0.500
Pa2 0.500 0.500 0.000
Hg1 0.000 0.000 0.500
Hg2 0.000 0.500 0.000
O1 0.199 0.670 0.529
O2 0.244 0.271 0.528
O3 0.244 0.716 0.972
O4 0.359 0.330 0.029
O5 0.641 0.670 0.971
O6 0.756 0.284 0.028
O7 0.756 0.729 0.472
O8 0.801 0.330 0.471

Entry 3:
Diffraction record for BeZnInNiPd. The powder XRD pattern is computed, not measured: it uses a DFT-relaxed cell (PBE, Alexandria) and CuKα.

Top 10 peaks for 5° ≤ 2θ ≤ 70°, by intensity:
- 2θ = 41.87°, I 100
- 2θ = 34.74°, I 74
- 2θ = 43.09°, I 60
- 2θ = 11.27°, I 35
- 2θ = 65.05°, I 24
- 2θ = 62.58°, I 19
- 2θ = 46.24°, I 18
- 2θ = 44.69°, I 5
- 2θ = 58.79°, I 3
- 2θ = 22.64°, I 3

Structural model:
Unit cell a=8.129 b=8.129 c=8.129 alpha=158.96 beta=158.96 gamma=29.93
Fractional positions:
Be1 0.000 0.000 0.000
Zn1 0.595 0.595 0.000
In1 0.824 0.824 0.000
Ni1 0.437 0.437 0.000
Pd1 0.200 0.200 0.000

Entry 4:
Diffraction record for SrLi2W. The powder XRD pattern is computed, not measured: it uses a DFT-relaxed cell (PBE, Alexandria) and CuKα.

Top 10 peaks for 5° ≤ 2θ ≤ 70°, by intensity:
- 2θ = 9.20°, I 100
- 2θ = 35.75°, I 37
- 2θ = 31.77°, I 28
- 2θ = 27.83°, I 12
- 2θ = 43.45°, I 11
- 2θ = 41.64°, I 10
- 2θ = 44.51°, I 9
- 2θ = 58.65°, I 8
- 2θ = 52.39°, I 8
- 2θ = 37.41°, I 8

Structural model:
Unit cell a=2.945 b=2.945 c=9.617 alpha=90.00 beta=90.00 gamma=90.00
Fractional positions:
Sr1 0.000 0.000 0.000
Li1 0.000 0.000 0.468
Li2 0.500 0.500 0.686
W1 0.500 0.500 0.266

Entry 5:
Diffraction record for Rb3Bi2I9. The powder XRD pattern is computed, not measured: it uses a DFT-relaxed cell (PBE, Alexandria) and CuKα.

Top 10 peaks for 5° ≤ 2θ ≤ 70°, by intensity:
- 2θ = 29.03°, I 100
- 2θ = 14.38°, I 98
- 2θ = 29.68°, I 65
- 2θ = 31.85°, I 56
- 2θ = 24.44°, I 50
- 2θ = 24.82°, I 42
- 2θ = 14.74°, I 40
- 2θ = 41.84°, I 38
- 2θ = 36.39°, I 33
- 2θ = 32.75°, I 33

Structural model:
Unit cell a=20.896 b=8.933 c=14.665 alpha=90.00 beta=90.36 gamma=90.00
Fractional positions:
Rb1 0.069 0.087 0.324
Rb2 0.069 0.413 0.824
Rb3 0.263 0.576 0.501
Rb4 0.263 0.924 0.001
Rb5 0.418 0.086 0.656
Rb6 0.418 0.414 0.156
Rb7 0.582 0.586 0.844
Rb8 0.582 0.914 0.344
Rb9 0.737 0.076 0.999
Rb10 0.737 0.424 0.499
Rb11 0.931 0.587 0.176
Rb12 0.931 0.913 0.676
Bi1 0.163 0.509 0.172
Bi2 0.163 0.991 0.672
Bi3 0.338 0.006 0.332
Bi4 0.338 0.494 0.832
Bi5 0.662 0.506 0.168
Bi6 0.662 0.994 0.668
Bi7 0.837 0.009 0.328
Bi8 0.837 0.491 0.828
I1 0.056 0.186 0.600
I2 0.056 0.314 0.100
I3 0.093 0.707 0.631
I4 0.093 0.793 0.131
I5 0.114 0.010 0.862
I6 0.114 0.490 0.362
I7 0.215 0.523 0.961
I8 0.215 0.977 0.461
I9 0.249 0.201 0.193
I10 0.249 0.299 0.693
I11 0.289 0.693 0.233
I12 0.289 0.807 0.733
I13 0.387 0.213 0.918
I14 0.387 0.287 0.418
I15 0.415 0.688 0.959
I16 0.415 0.812 0.459
I17 0.440 0.003 0.189
I18 0.440 0.497 0.689
I19 0.560 0.503 0.311
I20 0.560 0.997 0.811
I21 0.585 0.188 0.541
I22 0.585 0.312 0.041
I23 0.613 0.713 0.582
I24 0.613 0.787 0.082
I25 0.711 0.193 0.267
I26 0.711 0.307 0.767
I27 0.751 0.701 0.307
I28 0.751 0.799 0.807
I29 0.785 0.023 0.539
I30 0.785 0.477 0.039
I31 0.886 0.510 0.638
I32 0.886 0.990 0.138
I33 0.907 0.207 0.869
I34 0.907 0.293 0.369
I35 0.944 0.686 0.900
I36 0.944 0.814 0.400

Entry 6:
Diffraction record for BaLiGeN2. The powder XRD pattern is computed, not measured: it uses a DFT-relaxed cell (PBE, Alexandria) and CuKα.

Top 10 peaks for 5° ≤ 2θ ≤ 70°, by intensity:
- 2θ = 24.94°, I 100
- 2θ = 32.77°, I 89
- 2θ = 37.34°, I 52
- 2θ = 36.97°, I 47
- 2θ = 29.74°, I 44
- 2θ = 16.87°, I 37
- 2θ = 48.71°, I 29
- 2θ = 58.12°, I 26
- 2θ = 22.47°, I 23
- 2θ = 44.84°, I 23

Structural model:
Unit cell a=6.570 b=6.570 c=5.257 alpha=90.00 beta=90.00 gamma=132.25
Fractional positions:
Ba1 0.250 0.750 0.757
Ba2 0.750 0.250 0.243
Li1 0.000 0.000 0.500
Li2 0.500 0.500 0.500
Ge1 0.250 0.250 0.000
Ge2 0.750 0.750 0.000
N1 0.088 0.912 0.183
N2 0.412 0.588 0.183
N3 0.588 0.412 0.817
N4 0.912 0.088 0.817

Entry 7:
Diffraction record for K2Pu2CoS6. The powder XRD pattern is computed, not measured: it uses a DFT-relaxed cell (PBE, Alexandria) and CuKα.

Top 10 peaks for 5° ≤ 2θ ≤ 70°, by intensity:
- 2θ = 11.75°, I 100
- 2θ = 31.68°, I 43
- 2θ = 31.15°, I 22
- 2θ = 27.60°, I 18
- 2θ = 28.41°, I 17
- 2θ = 42.22°, I 16
- 2θ = 23.62°, I 16
- 2θ = 39.30°, I 15
- 2θ = 47.69°, I 14
- 2θ = 48.54°, I 12

Structural model:
Unit cell a=6.535 b=6.535 c=7.866 alpha=98.41 beta=98.41 gamma=118.91
Fractional positions:
K1 0.172 0.828 0.000
K2 0.828 0.172 0.000
Pu1 0.333 0.667 0.500
Pu2 0.667 0.333 0.500
Co1 0.000 0.000 0.500
S1 0.066 0.368 0.686
S2 0.232 0.232 0.317
S3 0.368 0.066 0.686
S4 0.632 0.934 0.314
S5 0.768 0.768 0.683
S6 0.934 0.632 0.314

Entry 8:
Diffraction record for Zn2Cu7Rh2. The powder XRD pattern is computed, not measured: it uses a DFT-relaxed cell (PBE, Alexandria) and CuKα.

Top 10 peaks for 5° ≤ 2θ ≤ 70°, by intensity:
- 2θ = 42.91°, I 100
- 2θ = 42.64°, I 75
- 2θ = 46.09°, I 40
- 2θ = 41.81°, I 32
- 2θ = 48.87°, I 27
- 2θ = 46.67°, I 20
- 2θ = 32.92°, I 20
- 2θ = 69.43°, I 17
- 2θ = 17.75°, I 16
- 2θ = 42.13°, I 16

Structural model:
Unit cell a=5.193 b=5.193 c=5.856 alpha=101.16 beta=101.16 gamma=98.66
Fractional positions:
Zn1 0.225 0.775 0.000
Zn2 0.775 0.225 0.000
Cu1 0.054 0.593 0.330
Cu2 0.304 0.304 0.018
Cu3 0.407 0.946 0.670
Cu4 0.500 0.500 0.500
Cu5 0.593 0.054 0.330
Cu6 0.696 0.696 0.982
Cu7 0.946 0.407 0.670
Rh1 0.092 0.092 0.329
Rh2 0.908 0.908 0.671